Record 1
LiTaNbAg2O6: calculated XRD peak list (λ = 1.5418 Å (Cu Kα)), based on the PBE geometry in Alexandria.
Intensities are scaled so that the largest is 100.

Most intense lines, 10 to 90 degrees two-theta, low angle first:
two_theta	d/Å	I/Imax	index
21.6	4.113	17.8	0 0 2
30.7	2.913	43.0	0 1 2
30.9	2.894	100.0	1 1 0
43.9	2.064	17.9	0 2 0
44.6	2.033	17.0	2 0 0
54.6	1.680	17.6	1 2 2

Structural model:
```
data_LiTaNbAg2O6
_chemical_formula_sum 'Li1 Ta1 Nb1 Ag2 O6'
_symmetry_space_group_name_H-M 'P m m 2'
_symmetry_Int_Tables_number 25
_cell_length_a 4.065
_cell_length_b 4.128
_cell_length_c 8.222
_cell_angle_alpha 90.00
_cell_angle_beta 90.00
_cell_angle_gamma 90.00
loop_
_symmetry_equiv_pos_as_xyz
'x,y,z'
'-x,-y,z'
'-x,y,z'
'x,-y,z'
loop_
_atom_site_label
_atom_site_fract_x
_atom_site_fract_y
_atom_site_fract_z
_atom_site_occupancy
Li1 0.000 0.000 0.000 1
Ta1 0.500 0.000 0.230 1
Nb1 0.500 0.000 0.710 1
Ag1 0.000 0.500 0.446 1
Ag2 0.000 0.500 0.871 1
O1 0.000 0.000 0.223 1
O2 0.000 0.000 0.719 1
O3 0.500 0.000 0.469 1
O4 0.500 0.000 0.979 1
O5 0.500 0.500 0.232 1
O6 0.500 0.500 0.708 1
```


Record 2
CsUCl6: calculated XRD peak list (λ = 1.5418 Å (Cu Kα)), based on the PBE geometry in Alexandria.
Intensities are scaled so that the largest is 100.

Most intense lines, 10 to 90 degrees two-theta, low angle first:
two_theta	d/Å	I/Imax	index
14.7	6.021	31.6	1 0 1
16.6	5.340	100.0	0 1 2
22.7	3.923	72.8	1 0 4
29.7	3.010	44.7	2 0 2
36.5	2.462	47.1	1 1 6
41.9	2.154	30.5	2 1 4

Structural model:
```
data_CsUCl6
_chemical_formula_sum 'Cs3 U3 Cl18'
_symmetry_space_group_name_H-M 'R -3 m'
_symmetry_Int_Tables_number 166
_symmetry_space_group_name_Hall '-R 3 2"'
_cell_length_a 7.2891
_cell_length_b 7.2891
_cell_length_c 20.0322
_cell_angle_alpha 90.00
_cell_angle_beta 90.00
_cell_angle_gamma 120.00
loop_
_atom_site_label
_atom_site_fract_x
_atom_site_fract_y
_atom_site_fract_z
_atom_site_occupancy
Cs1 0.0000 0.0000 0.0000 1
U1 0.0000 0.0000 0.5000 1
Cl1 0.0068 0.5034 0.0930 1
```


Record 3
CoRePt: calculated XRD peak list (λ = 1.5418 Å (Cu Kα)), based on the PBE geometry in Alexandria.
Intensities are scaled so that the largest is 100.

Most intense lines, 10 to 90 degrees two-theta, low angle first:
two_theta	d/Å	I/Imax	index
26.2	3.397	32.4	0 1 1
41.2	2.192	98.8	0 1 3
41.3	2.186	100.0	1 1 0
47.6	1.909	65.1	1 0 3
48.7	1.870	31.2	0 2 0
70.5	1.336	40.3	1 2 3

Structural model:
```
data_CoRePt
_chemical_formula_sum 'Co2 Re2 Pt2'
_symmetry_space_group_name_H-M 'I m m 2'
_symmetry_Int_Tables_number 44
_cell_length_a 2.694
_cell_length_b 3.740
_cell_length_c 8.115
_cell_angle_alpha 90.00
_cell_angle_beta 90.00
_cell_angle_gamma 90.00
loop_
_symmetry_equiv_pos_as_xyz
'x,y,z'
'-x,-y,z'
'-x,y,z'
'x,-y,z'
'x+1/2,y+1/2,z+1/2'
'-x+1/2,-y+1/2,z+1/2'
'-x+1/2,y+1/2,z+1/2'
'x+1/2,-y+1/2,z+1/2'
loop_
_atom_site_label
_atom_site_fract_x
_atom_site_fract_y
_atom_site_fract_z
_atom_site_occupancy
Co1 0.000 0.000 0.000 1
Re1 0.000 0.000 0.354 1
Pt1 0.000 0.000 0.675 1
```